Record 1
Computed XRD peak list
Compound: NaErPO4F
Radiation: Cu Kα
Structure: the GGA-PBE geometry in the Materials Project
Intensities are scaled so that the largest is 100.

Top 10 peaks for 10 to 90 degrees two-theta, low angle first:
two_theta, I/Imax
14.18, 83
19.75, 74
20.64, 76
25.64, 93
28.28, 73
29.42, 39
30.45, 91
33.14, 100
38.49, 58
41.94, 48

Cell lengths 5.669, 5.669, 6.502 Å; angles 102.71, 102.71, 75.59 degrees
Fractional coordinates of all 16 atoms:
Na 0.207 0.793 0.000
Na 0.793 0.207 0.000
Er 0.217 0.217 0.616
Er 0.783 0.783 0.384
P 0.346 0.346 0.224
P 0.654 0.654 0.776
O 0.127 0.480 0.345
O 0.243 0.243 0.990
O 0.480 0.127 0.345
O 0.481 0.481 0.770
O 0.519 0.519 0.230
O 0.520 0.873 0.655
O 0.757 0.757 0.010
O 0.873 0.520 0.655
F 0.018 0.018 0.313
F 0.982 0.982 0.687



Record 2
Computed XRD peak list
Compound: ErOF
Radiation: Cu Kα
Structure: the GGA-PBE geometry in the Materials Project
Intensities are scaled so that the largest is 100.

Top 10 peaks for 10 to 90 degrees two-theta, low angle first:
two_theta, I/Imax
28.19, 31
28.78, 100
33.18, 39
47.25, 31
48.02, 36
55.93, 11
56.61, 27
56.95, 15
77.63, 12
89.05, 10

Cell lengths 6.699, 6.699, 6.699 Å; angles 32.86, 32.86, 32.86 degrees
Fractional coordinates of all 6 atoms:
Er 0.241 0.241 0.241
Er 0.759 0.759 0.759
O 0.122 0.122 0.122
O 0.878 0.878 0.878
F 0.370 0.370 0.370
F 0.630 0.630 0.630



Record 3
Computed XRD peak list
Compound: Er3OF10
Radiation: Cu Kα
Structure: the GGA-PBE geometry in the Materials Project
Intensities are scaled so that the largest is 100.

Top 10 peaks for 10 to 90 degrees two-theta, low angle first:
two_theta, I/Imax
15.41, 32
21.86, 32
26.85, 100
31.10, 40
44.56, 48
47.43, 13
52.80, 55
71.51, 19
73.67, 13
82.10, 17

Cell lengths 8.133, 8.133, 8.133 Å; angles 60.00, 60.00, 60.00 degrees
Fractional coordinates of all 28 atoms:
Er 0.241 0.241 0.759
Er 0.241 0.759 0.241
Er 0.241 0.759 0.759
Er 0.759 0.241 0.241
Er 0.759 0.241 0.759
Er 0.759 0.759 0.241
O 0.250 0.250 0.250
O 0.750 0.750 0.750
F 0.113 0.113 0.113
F 0.113 0.113 0.661
F 0.113 0.661 0.113
F 0.172 0.500 0.500
F 0.172 0.500 0.828
F 0.172 0.828 0.500
F 0.339 0.887 0.887
F 0.500 0.172 0.500
F 0.500 0.172 0.828
F 0.500 0.500 0.172
F 0.500 0.500 0.828
F 0.500 0.828 0.172
F 0.500 0.828 0.500
F 0.661 0.113 0.113
F 0.828 0.172 0.500
F 0.828 0.500 0.172
F 0.828 0.500 0.500
F 0.887 0.339 0.887
F 0.887 0.887 0.339
F 0.887 0.887 0.887



Record 4
Computed XRD peak list
Compound: ErSeO3F
Radiation: Cu Kα
Structure: the GGA-PBE geometry in the Materials Project
Intensities are scaled so that the largest is 100.

Top 10 peaks for 10 to 90 degrees two-theta, low angle first:
two_theta, I/Imax
13.53, 27
18.62, 18
24.98, 45
26.65, 23
28.59, 100
30.19, 65
31.12, 33
34.31, 27
50.16, 18
51.04, 21

Cell lengths 6.619, 6.947, 7.207 Å; angles 90.00, 98.50, 90.00 degrees
Fractional coordinates of all 24 atoms:
Er 0.139 0.140 0.324
Er 0.139 0.360 0.824
Er 0.861 0.640 0.176
Er 0.861 0.860 0.676
Se 0.351 0.619 0.289
Se 0.351 0.881 0.789
Se 0.649 0.119 0.211
Se 0.649 0.381 0.711
O 0.173 0.031 0.648
O 0.173 0.469 0.148
O 0.174 0.694 0.779
O 0.174 0.806 0.279
O 0.484 0.186 0.361
O 0.484 0.314 0.861
O 0.516 0.686 0.139
O 0.516 0.814 0.639
O 0.826 0.194 0.721
O 0.826 0.306 0.221
O 0.827 0.531 0.852
O 0.827 0.969 0.352
F 0.167 0.119 0.025
F 0.167 0.381 0.525
F 0.833 0.619 0.475
F 0.833 0.881 0.975